Entry 1:
Structure and theoretical powder XRD pattern of ZrIn2Pd2 (a cell relaxed with GGA-PBE; copper Kα).

abc: 4.616 4.638 9.686
angles: 90.00 90.00 90.00
Space group Pmmn (No. 59, origin choice 2)
Asymmetric unit:
Zr  0.250  0.250  0.174 x2
In  0.250  0.250  0.502 x2
In  0.250  0.250  0.828 x2
Pd  0.250  0.750  0.330 x2
Pd  0.250  0.750  0.993 x2

The 10 most intense peaks (10° ≤ 2θ ≤ 90°), by angle:
- (0 1 1), 2θ 21.3, I 14.6
- (1 0 2), 2θ 26.7, I 10.1
- (0 2 0), 2θ 38.8, I 25.9
- (2 0 0), 2θ 39.0, I 25.6
- (1 1 3), 2θ 39.2, I 100.0
- (2 2 0), 2θ 56.2, I 17.1
- (1 3 3), 2θ 70.6, I 16.9
- (3 1 3), 2θ 70.8, I 16.7
- (0 2 6), 2θ 71.2, I 8.3
- (2 2 6), 2θ 84.3, I 10.6

Entry 2:
Structure and theoretical powder XRD pattern of Pm13In2 (a cell relaxed with GGA-PBE; copper Kα).

abc: 6.956 8.721 9.117
angles: 66.46 78.64 82.80
Space group P-1 (No. 2)
Asymmetric unit:
Pm  0.000  0.000  0.000 x1
Pm  0.123  0.477  0.736 x2
Pm  0.198  0.229  0.155 x2
Pm  0.261  0.935  0.587 x2
Pm  0.309  0.654  0.973 x2
Pm  0.362  0.414  0.392 x2
Pm  0.493  0.141  0.795 x2
In  0.059  0.773  0.383 x2

The 10 most intense peaks (10° ≤ 2θ ≤ 90°), by angle:
- (1 1 3), 2θ 30.3, I 40.9
- (-2 1 1), 2θ 31.0, I 100.0
- (2 2 1), 2θ 31.1, I 48.7
- (0 3 2), 2θ 32.2, I 85.9
- (3 0 2), 2θ 42.2, I 15.9
- (-1 2 4), 2θ 45.6, I 13.2
- (1 4 0), 2θ 46.7, I 17.9
- (4 1 0), 2θ 54.5, I 17.7
- (-2 4 3), 2θ 56.7, I 12.6
- (-1 5 1), 2θ 57.2, I 19.0

Entry 3:
Structure and theoretical powder XRD pattern of PmIn4 (a cell relaxed with GGA-PBE; copper Kα).

abc: 4.856 6.783 15.892
angles: 90.00 90.00 90.00
Space group Imma (No. 74)
Asymmetric unit:
Pm  0.000  0.250  0.102 x4
In  0.000  0.000  0.500 x4
In  0.000  0.010  0.697 x8
In  0.000  0.250  0.893 x4

The 10 most intense peaks (10° ≤ 2θ ≤ 90°), by angle:
- (1 2 1), 2θ 32.7, I 94.0
- (1 0 5), 2θ 33.7, I 100.0
- (0 2 4), 2θ 34.8, I 39.4
- (2 0 0), 2θ 37.0, I 39.1
- (0 2 6), 2θ 43.3, I 21.0
- (2 2 4), 2θ 51.7, I 25.0
- (2 2 6), 2θ 58.3, I 17.1
- (3 0 5), 2θ 64.6, I 14.6
- (1 4 5), 2θ 65.3, I 27.6
- (3 4 5), 2θ 89.1, I 22.8

Entry 4:
Structure and theoretical powder XRD pattern of Pm5In6 (a cell relaxed with GGA-PBE; copper Kα).

abc: 5.363 7.547 16.001
angles: 90.00 90.00 90.00
Space group Immm (No. 71)
Asymmetric unit:
Pm  0.000  0.000  0.000 x2
Pm  0.000  0.000  0.317 x4
Pm  0.000  0.500  0.342 x4
In  0.000  0.205  0.500 x4
In  0.000  0.278  0.152 x8

The 10 most intense peaks (10° ≤ 2θ ≤ 90°), by angle:
- (1 1 4), 2θ 30.3, I 11.7
- (2 0 0), 2θ 33.4, I 23.6
- (1 2 3), 2θ 33.6, I 100.0
- (2 0 6), 2θ 48.1, I 13.7
- (0 4 0), 2θ 48.2, I 5.7
- (3 2 3), 2θ 59.8, I 15.0
- (2 4 0), 2θ 59.9, I 5.9
- (1 2 9), 2θ 60.1, I 14.5
- (2 3 7), 2θ 65.2, I 5.5
- (2 4 6), 2θ 70.5, I 5.9